# 1
Theoretical powder X-ray diffraction pattern of YVSe2O8 for Cu Kα (weighted mean of Kα1 and Kα2), from a cell relaxed with GGA+U.
No peak broadening, texture or thermal motion is included.

Atomic structure:
Unit cell a=10.744 b=5.479 c=5.479 alpha=84.51 beta=90.00 gamma=90.00
Atoms (fractional coordinates):
Y 0.000 0.000 0.000
Y 0.000 0.500 0.500
V 0.500 0.014 0.014
V 0.500 0.514 0.514
Se 0.201 0.563 0.063
Se 0.275 0.106 0.606
Se 0.725 0.606 0.106
Se 0.799 0.063 0.563
O 0.111 0.314 0.175
O 0.111 0.675 0.814
O 0.123 0.176 0.676
O 0.135 0.763 0.263
O 0.324 0.034 0.910
O 0.324 0.410 0.534
O 0.465 0.729 0.229
O 0.500 0.217 0.217
O 0.500 0.717 0.717
O 0.535 0.229 0.729
O 0.676 0.534 0.410
O 0.676 0.910 0.034
O 0.865 0.263 0.763
O 0.877 0.676 0.176
O 0.889 0.175 0.314
O 0.889 0.814 0.675

Largest 10 diffraction maxima, low angle first, 2θ from 10° to 80°:
2θ = 21.92°, d = 4.055 Å, I = 42; 2θ = 23.24°, d = 3.827 Å, I = 29; 2θ = 27.56°, d = 3.236 Å, I = 79; 2θ = 29.40°, d = 3.038 Å, I = 100; 2θ = 32.84°, d = 2.727 Å, I = 49; 2θ = 33.37°, d = 2.685 Å, I = 27; 2θ = 37.32°, d = 2.410 Å, I = 26; 2θ = 47.52°, d = 1.914 Å, I = 29; 2θ = 49.46°, d = 1.843 Å, I = 24; 2θ = 57.57°, d = 1.601 Å, I = 22

=====

# 2
Theoretical powder X-ray diffraction pattern of Na3Mn2P2C2O14 for Cu Kα (weighted mean of Kα1 and Kα2), from a cell relaxed with GGA+U.
No peak broadening, texture or thermal motion is included.

Atomic structure:
Unit cell a=8.421 b=8.425 c=9.017 alpha=90.13 beta=92.15 gamma=103.45
Atoms (fractional coordinates):
Na 0.125 0.128 0.236
Na 0.348 0.385 0.755
Na 0.371 0.884 0.241
Na 0.629 0.116 0.759
Na 0.652 0.615 0.245
Na 0.875 0.872 0.764
Mn 0.229 0.484 0.351
Mn 0.269 0.011 0.656
Mn 0.731 0.989 0.344
Mn 0.771 0.516 0.649
P 0.021 0.762 0.426
P 0.494 0.729 0.570
P 0.506 0.271 0.430
P 0.979 0.238 0.574
C 0.242 0.991 0.924
C 0.262 0.511 0.082
C 0.738 0.489 0.918
C 0.758 0.009 0.076
O 0.055 0.311 0.429
O 0.095 0.640 0.337
O 0.103 0.183 0.678
O 0.145 0.893 0.828
O 0.147 0.402 0.147
O 0.164 0.914 0.468
O 0.229 0.986 0.061
O 0.282 0.524 0.948
O 0.347 0.580 0.534
O 0.357 0.098 0.857
O 0.357 0.606 0.186
O 0.373 0.332 0.335
O 0.438 0.201 0.580
O 0.444 0.859 0.665
O 0.556 0.141 0.335
O 0.562 0.799 0.420
O 0.627 0.668 0.665
O 0.643 0.394 0.814
O 0.643 0.902 0.143
O 0.653 0.420 0.466
O 0.718 0.476 0.052
O 0.771 0.014 0.939
O 0.836 0.086 0.532
O 0.853 0.598 0.853
O 0.855 0.107 0.172
O 0.897 0.817 0.322
O 0.905 0.360 0.663
O 0.945 0.689 0.571

Largest 10 diffraction maxima, low angle first, 2θ from 10° to 80°:
2θ = 16.45°, d = 5.388 Å, I = 53; 2θ = 16.81°, d = 5.274 Å, I = 55; 2θ = 19.94°, d = 4.452 Å, I = 42; 2θ = 21.71°, d = 4.094 Å, I = 48; 2θ = 25.71°, d = 3.465 Å, I = 82; 2θ = 26.97°, d = 3.305 Å, I = 100; 2θ = 33.26°, d = 2.694 Å, I = 38; 2θ = 33.59°, d = 2.668 Å, I = 39; 2θ = 33.98°, d = 2.638 Å, I = 63; 2θ = 34.39°, d = 2.607 Å, I = 58

=====

# 3
Theoretical powder X-ray diffraction pattern of LiCr3O8 for Cu Kα (weighted mean of Kα1 and Kα2), from a cell relaxed with GGA+U.
No peak broadening, texture or thermal motion is included.

Atomic structure:
Unit cell a=5.065 b=5.065 c=6.453 alpha=91.44 beta=91.44 gamma=66.20
Atoms (fractional coordinates):
Li 0.000 0.000 0.000
Cr 0.000 0.000 0.500
Cr 0.354 0.354 0.261
Cr 0.646 0.646 0.739
O 0.215 0.723 0.272
O 0.231 0.231 0.456
O 0.253 0.253 0.046
O 0.277 0.785 0.728
O 0.723 0.215 0.272
O 0.747 0.747 0.954
O 0.769 0.769 0.544
O 0.785 0.277 0.728

Largest 10 diffraction maxima, low angle first, 2θ from 10° to 80°:
2θ = 13.73°, d = 6.450 Å, I = 34; 2θ = 23.46°, d = 3.793 Å, I = 14; 2θ = 23.83°, d = 3.734 Å, I = 100; 2θ = 24.78°, d = 3.594 Å, I = 66; 2θ = 32.37°, d = 2.766 Å, I = 26; 2θ = 33.60°, d = 2.667 Å, I = 22; 2θ = 34.13°, d = 2.627 Å, I = 30; 2θ = 35.66°, d = 2.518 Å, I = 32; 2θ = 41.19°, d = 2.192 Å, I = 13; 2θ = 62.89°, d = 1.478 Å, I = 14

=====

# 4
Theoretical powder X-ray diffraction pattern of Li3Cr2P4HO14 for Cu Kα (weighted mean of Kα1 and Kα2), from a cell relaxed with GGA+U.
No peak broadening, texture or thermal motion is included.

Atomic structure:
Unit cell a=5.195 b=5.265 c=12.473 alpha=100.66 beta=90.35 gamma=117.80
Atoms (fractional coordinates):
Li 0.000 0.000 0.000
Li 0.206 0.315 0.497
Li 0.794 0.685 0.503
Cr 0.198 0.226 0.263
Cr 0.802 0.774 0.737
P 0.292 0.711 0.126
P 0.467 0.072 0.644
P 0.533 0.928 0.356
P 0.708 0.289 0.874
H 0.500 0.500 0.000
O 0.097 0.407 0.149
O 0.136 0.896 0.128
O 0.162 0.845 0.593
O 0.302 0.033 0.375
O 0.436 0.624 0.386
O 0.439 0.117 0.775
O 0.445 0.701 0.022
O 0.555 0.299 0.978
O 0.561 0.883 0.225
O 0.564 0.376 0.614
O 0.698 0.967 0.625
O 0.838 0.155 0.407
O 0.864 0.104 0.872
O 0.903 0.593 0.851

Largest 10 diffraction maxima, low angle first, 2θ from 10° to 80°:
2θ = 14.53°, d = 6.094 Å, I = 42; 2θ = 19.48°, d = 4.558 Å, I = 38; 2θ = 20.01°, d = 4.437 Å, I = 100; 2θ = 21.48°, d = 4.137 Å, I = 35; 2θ = 21.75°, d = 4.086 Å, I = 32; 2θ = 21.95°, d = 4.050 Å, I = 40; 2θ = 32.51°, d = 2.754 Å, I = 28; 2θ = 33.18°, d = 2.700 Å, I = 21; 2θ = 34.11°, d = 2.628 Å, I = 25; 2θ = 37.46°, d = 2.401 Å, I = 21

=====

# 5
Theoretical powder X-ray diffraction pattern of LiFeF4 for Cu Kα (weighted mean of Kα1 and Kα2), from a cell relaxed with GGA+U.
No peak broadening, texture or thermal motion is included.

Atomic structure:
Unit cell a=7.823 b=7.823 c=7.823 alpha=98.47 beta=98.47 gamma=134.87
Atoms (fractional coordinates):
Li 0.375 0.062 0.187
Li 0.812 0.625 0.687
Li 0.875 0.188 0.813
Li 0.938 0.125 0.313
Fe 0.339 0.625 0.214
Fe 0.375 0.589 0.714
Fe 0.411 0.125 0.786
Fe 0.875 0.661 0.286
F 0.013 0.271 0.606
F 0.021 0.263 0.106
F 0.084 0.979 0.242
F 0.108 0.875 0.552
F 0.125 0.676 0.233
F 0.157 0.916 0.894
F 0.307 0.574 0.948
F 0.324 0.557 0.448
F 0.426 0.375 0.733
F 0.443 0.892 0.767
F 0.593 0.987 0.258
F 0.625 0.358 0.052
F 0.642 0.693 0.267
F 0.666 0.407 0.394
F 0.729 0.334 0.742
F 0.737 0.843 0.758

Largest 10 diffraction maxima, low angle first, 2θ from 10° to 80°:
2θ = 17.13°, d = 5.176 Å, I = 80; 2θ = 24.48°, d = 3.636 Å, I = 96; 2θ = 24.65°, d = 3.612 Å, I = 100; 2θ = 27.61°, d = 3.231 Å, I = 18; 2θ = 34.66°, d = 2.588 Å, I = 15; 2θ = 46.98°, d = 1.934 Å, I = 46; 2θ = 49.74°, d = 1.833 Å, I = 24; 2θ = 50.18°, d = 1.818 Å, I = 29; 2θ = 50.48°, d = 1.808 Å, I = 22; 2θ = 59.36°, d = 1.557 Å, I = 13

=====

# 6
Theoretical powder X-ray diffraction pattern of YLuCr2O8 for Cu Kα (weighted mean of Kα1 and Kα2), from a cell relaxed with GGA+U.
No peak broadening, texture or thermal motion is included.

Atomic structure:
Unit cell a=5.949 b=5.949 c=5.949 alpha=106.06 beta=106.06 gamma=116.52
Atoms (fractional coordinates):
Y 0.000 0.000 0.000
Lu 0.750 0.250 0.500
Cr 0.250 0.750 0.500
Cr 0.500 0.500 0.000
O 0.071 0.388 0.317
O 0.071 0.754 0.683
O 0.139 0.326 0.813
O 0.246 0.929 0.317
O 0.513 0.326 0.187
O 0.612 0.929 0.683
O 0.674 0.487 0.813
O 0.674 0.861 0.187

Largest 10 diffraction maxima, low angle first, 2θ from 10° to 80°:
2θ = 18.84°, d = 4.711 Å, I = 34; 2θ = 24.89°, d = 3.578 Å, I = 100; 2θ = 33.67°, d = 2.662 Å, I = 67; 2θ = 35.48°, d = 2.530 Å, I = 20; 2θ = 40.47°, d = 2.229 Å, I = 14; 2θ = 49.72°, d = 1.834 Å, I = 57; 2θ = 51.06°, d = 1.789 Å, I = 16; 2θ = 57.61°, d = 1.600 Å, I = 13; 2θ = 62.56°, d = 1.485 Å, I = 17; 2θ = 74.04°, d = 1.280 Å, I = 12

=====

# 7
Theoretical powder X-ray diffraction pattern of Fe10OF19 for Cu Kα (weighted mean of Kα1 and Kα2), from a cell relaxed with GGA+U.
No peak broadening, texture or thermal motion is included.

Atomic structure:
Unit cell a=16.563 b=4.795 c=4.795 alpha=90.62 beta=90.00 gamma=90.00
Atoms (fractional coordinates):
Fe 0.000 0.000 0.000
Fe 0.095 0.534 0.534
Fe 0.200 0.027 0.027
Fe 0.299 0.524 0.524
Fe 0.400 0.025 0.025
Fe 0.500 0.525 0.525
Fe 0.600 0.025 0.025
Fe 0.701 0.524 0.524
Fe 0.800 0.027 0.027
Fe 0.905 0.534 0.534
O 0.000 0.729 0.729
F 0.000 0.307 0.307
F 0.096 0.219 0.833
F 0.096 0.833 0.219
F 0.197 0.329 0.329
F 0.200 0.726 0.726
F 0.300 0.225 0.825
F 0.300 0.825 0.225
F 0.400 0.326 0.326
F 0.400 0.724 0.724
F 0.500 0.225 0.825
F 0.500 0.825 0.225
F 0.600 0.326 0.326
F 0.600 0.724 0.724
F 0.700 0.225 0.825
F 0.700 0.825 0.225
F 0.800 0.726 0.726
F 0.803 0.329 0.329
F 0.904 0.219 0.833
F 0.904 0.833 0.219

Largest 10 diffraction maxima, low angle first, 2θ from 10° to 80°:
2θ = 26.14°, d = 3.409 Å, I = 85; 2θ = 26.43°, d = 3.372 Å, I = 82; 2θ = 32.86°, d = 2.725 Å, I = 100; 2θ = 37.87°, d = 2.376 Å, I = 19; 2θ = 38.08°, d = 2.363 Å, I = 19; 2θ = 50.55°, d = 1.806 Å, I = 60; 2θ = 50.88°, d = 1.795 Å, I = 55; 2θ = 53.78°, d = 1.704 Å, I = 17; 2θ = 55.48°, d = 1.656 Å, I = 20; 2θ = 64.76°, d = 1.440 Å, I = 41